Starting from a DFT-relaxed cell (GGA-PBE, Alexandria), the X-ray powder pattern of Sm6BiAs2S3 was computed for Cu Ka.
No peak broadening, texture or thermal motion is included.

Atomic structure:
a b c (Å): 9.3272 9.3272 8.3591
angles (deg): 102.49 102.49 25.89
Positions (direct):
Sm 0.9995 0.9995 0.2271
Sm 0.0005 0.0005 0.7729
Sm 0.3250 0.3250 0.4102
Sm 0.3327 0.3327 0.9168
Sm 0.6673 0.6673 0.0832
Sm 0.6750 0.6750 0.5898
Bi 0.5000 0.5000 0.5000
As 0.1672 0.1672 0.8338
As 0.8328 0.8328 0.1662
S 0.1647 0.1647 0.3320
S 0.5000 0.5000 0.0000
S 0.8353 0.8353 0.6680

Most intense lines, 10 to 80 degrees two-theta, in order of rising 2θ:
2θ/deg  I (rel.)
26.2  14.5
30.2  100.0
43.2  24.4
43.3  24.5
43.4  24.3
53.7  13.1


Starting from a DFT-relaxed cell (GGA-PBE, Alexandria), the X-ray powder pattern of UTl2Cl5 was computed for Cu Ka.
No peak broadening, texture or thermal motion is included.

Atomic structure:
a b c (Å): 13.2276 8.8453 8.2860
angles (deg): 90.00 90.00 90.00
Positions (direct):
U 0.0021 0.2500 0.0669
U 0.4979 0.7500 0.5669
U 0.5021 0.2500 0.4331
U 0.9979 0.7500 0.9331
Tl 0.1706 0.0032 0.5461
Tl 0.1706 0.4968 0.5461
Tl 0.3294 0.5032 0.0461
Tl 0.3294 0.9968 0.0461
Tl 0.6706 0.0032 0.9539
Tl 0.6706 0.4968 0.9539
Tl 0.8294 0.5032 0.4539
Tl 0.8294 0.9968 0.4539
Cl 0.0080 0.2500 0.4119
Cl 0.0771 0.5406 0.1603
Cl 0.0771 0.9594 0.1603
Cl 0.1754 0.2500 0.8766
Cl 0.2005 0.7500 0.8398
Cl 0.2995 0.2500 0.3398
Cl 0.3246 0.7500 0.3766
Cl 0.4229 0.0406 0.6603
Cl 0.4229 0.4594 0.6603
Cl 0.4920 0.7500 0.9119
Cl 0.5080 0.2500 0.0881
Cl 0.5771 0.5406 0.3397
Cl 0.5771 0.9594 0.3397
Cl 0.6754 0.2500 0.6234
Cl 0.7005 0.7500 0.6602
Cl 0.7995 0.2500 0.1602
Cl 0.8246 0.7500 0.1234
Cl 0.9229 0.0406 0.8397
Cl 0.9229 0.4594 0.8397
Cl 0.9920 0.7500 0.5881

Most intense lines, 10 to 80 degrees two-theta, in order of rising 2θ:
2θ/deg  I (rel.)
21.4  44.7
22.8  100.0
23.8  80.6
24.2  49.4
32.6  43.9
41.2  36.3


Starting from a DFT-relaxed cell (GGA-PBE, Alexandria), the X-ray powder pattern of Ba2MgZn4Ga3 was computed for Cu Ka.
No peak broadening, texture or thermal motion is included.

Atomic structure:
a b c (Å): 4.5398 4.5398 11.3698
angles (deg): 90.00 90.00 90.00
Positions (direct):
Ba 0.0000 0.5000 0.2400
Ba 0.5000 0.0000 0.7600
Mg 0.0000 0.0000 0.5000
Zn 0.0000 0.0000 0.0000
Zn 0.0000 0.5000 0.6372
Zn 0.5000 0.0000 0.3628
Zn 0.5000 0.5000 0.0000
Ga 0.0000 0.5000 0.8765
Ga 0.5000 0.0000 0.1235
Ga 0.5000 0.5000 0.5000

Most intense lines, 10 to 80 degrees two-theta, in order of rising 2θ:
2θ/deg  I (rel.)
30.7  80.3
32.0  100.0
39.7  64.3
44.6  34.0
51.0  37.9
61.2  25.7